For Pm5GeSe4, a structure optimized by DFT (PBE) gives the theoretical powder XRD pattern in this record (Cu Kα).
Lines closer than 0.1° are merged.

Largest 6 diffraction maxima, sorted by position, 2θ from 10° to 90°:
two_theta	I/Imax
29.9	100
30.1	50
42.8	37
42.9	74
53.2	39
70.5	33

```
Pm5GeSe4
1.0
-4.725 4.725 2.973
4.725 -4.725 2.973
4.725 4.725 -2.973
Pm Ge Se
5 1 4
direct
0.000 0.000 0.000 Pm
0.207 0.597 0.804 Pm
0.403 0.207 0.610 Pm
0.597 0.793 0.390 Pm
0.793 0.403 0.196 Pm
0.500 0.500 0.000 Ge
0.099 0.301 0.400 Se
0.301 0.901 0.202 Se
0.699 0.099 0.798 Se
0.901 0.699 0.600 Se
```


For SmReB4, a structure optimized by DFT (PBE) gives the theoretical powder XRD pattern in this record (Cu Kα).
Lines closer than 0.1° are merged.

Largest 6 diffraction maxima, sorted by position, 2θ from 10° to 90°:
two_theta	I/Imax
24.3	99
30.6	84
37.7	35
39.5	100
42.3	34
45.4	48

```
SmReB4
1.0
6.040 0.000 0.000
0.000 11.690 0.000
0.000 0.000 3.659
Sm Re B
4 4 16
direct
0.125 0.150 0.000 Sm
0.375 0.650 0.000 Sm
0.625 0.350 0.000 Sm
0.875 0.850 0.000 Sm
0.130 0.413 0.000 Re
0.370 0.913 0.000 Re
0.630 0.087 0.000 Re
0.870 0.587 0.000 Re
0.024 0.691 0.500 B
0.113 0.546 0.500 B
0.139 0.968 0.500 B
0.216 0.816 0.500 B
0.284 0.316 0.500 B
0.361 0.468 0.500 B
0.387 0.046 0.500 B
0.476 0.191 0.500 B
0.524 0.809 0.500 B
0.613 0.954 0.500 B
0.639 0.532 0.500 B
0.716 0.684 0.500 B
0.784 0.184 0.500 B
0.861 0.032 0.500 B
0.887 0.454 0.500 B
0.976 0.309 0.500 B
```


For Th3AgC, a structure optimized by DFT (PBE) gives the theoretical powder XRD pattern in this record (Cu Kα).
Lines closer than 0.1° are merged.

Largest 6 diffraction maxima, sorted by position, 2θ from 10° to 90°:
two_theta	I/Imax
26.4	33
28.2	32
31.2	100
31.4	27
31.8	62
33.9	36

```
Th3AgC
1.0
3.748 0.000 0.000
-1.865 6.516 0.000
0.000 -2.472 10.338
Th Ag C
6 2 2
direct
0.121 0.242 0.191 Th
0.169 0.339 0.615 Th
0.360 0.721 0.093 Th
0.640 0.279 0.907 Th
0.831 0.661 0.385 Th
0.879 0.758 0.809 Th
0.460 0.920 0.614 Ag
0.540 0.080 0.386 Ag
0.260 0.520 0.850 C
0.740 0.480 0.150 C
```


Please write out number 2 again, unchanged.
For SmReB4, a structure optimized by DFT (PBE) gives the theoretical powder XRD pattern in this record (Cu Kα).
Lines closer than 0.1° are merged.

Largest 6 diffraction maxima, sorted by position, 2θ from 10° to 90°:
two_theta	I/Imax
24.3	99
30.6	84
37.7	35
39.5	100
42.3	34
45.4	48

```
SmReB4
1.0
6.040 0.000 0.000
0.000 11.690 0.000
0.000 0.000 3.659
Sm Re B
4 4 16
direct
0.125 0.150 0.000 Sm
0.375 0.650 0.000 Sm
0.625 0.350 0.000 Sm
0.875 0.850 0.000 Sm
0.130 0.413 0.000 Re
0.370 0.913 0.000 Re
0.630 0.087 0.000 Re
0.870 0.587 0.000 Re
0.024 0.691 0.500 B
0.113 0.546 0.500 B
0.139 0.968 0.500 B
0.216 0.816 0.500 B
0.284 0.316 0.500 B
0.361 0.468 0.500 B
0.387 0.046 0.500 B
0.476 0.191 0.500 B
0.524 0.809 0.500 B
0.613 0.954 0.500 B
0.639 0.532 0.500 B
0.716 0.684 0.500 B
0.784 0.184 0.500 B
0.861 0.032 0.500 B
0.887 0.454 0.500 B
0.976 0.309 0.500 B
```